Starting from the GGA+U geometry in the Materials Project, the powder X-ray diffraction pattern of KCoF3 was calculated for Cu Kα (λ = 1.5418 Å).
Intensities are scaled so that the largest is 100.

Cell and atoms:
a b c (Å): 4.1053 4.1053 4.1053
angles (deg): 90.00 90.00 90.00
Positions (direct):
K: 0.0000 0.0000 0.0000
Co: 0.5000 0.5000 0.5000
F: 0.0000 0.5000 0.5000
F: 0.5000 0.0000 0.5000
F: 0.5000 0.5000 0.0000

Main lines, low angle first (2θ from 10° to 90°):
21.65°, I 30.3, hkl 1 0 0; 30.80°, I 100.0, hkl 1 1 0; 37.96°, I 7.2, hkl 1 1 1; 44.12°, I 64.7, hkl 2 0 0; 49.66°, I 12.2, hkl 2 1 0; 54.77°, I 35.9, hkl 2 1 1; 64.17°, I 35.2, hkl 2 2 0; 68.58°, I 5.0, hkl 3 0 0; 72.86°, I 14.6, hkl 3 1 0; 81.16°, I 10.7, hkl 2 2 2; 85.23°, I 2.0, hkl 3 2 0; 89.28°, I 17.3, hkl 3 2 1

---

Starting from the GGA+U geometry in the Materials Project, the powder X-ray diffraction pattern of LiCo2OF3 was calculated for Cu Kα (λ = 1.5418 Å).
Intensities are scaled so that the largest is 100.

Cell and atoms:
a b c (Å): 6.1292 6.1318 8.5207
angles (deg): 90.00 90.19 90.00
Positions (direct):
Li: 0.0000 0.0000 0.0000
Li: 0.2468 0.2353 0.7647
Li: 0.2468 0.7647 0.7647
Li: 0.4826 0.0000 0.0085
Co: 0.2583 0.0000 0.3730
Co: 0.2652 0.5000 0.1281
Co: 0.5129 0.5000 0.5030
Co: 0.7141 0.2417 0.2655
Co: 0.7141 0.7583 0.2655
Co: 0.7459 0.5000 0.8836
Co: 0.7471 0.0000 0.6248
Co: 0.9778 0.5000 0.5157
O: 0.5037 0.0000 0.2436
O: 0.5114 0.5000 0.2644
O: 0.7531 0.2698 0.5033
O: 0.7531 0.7302 0.5033
F: 0.0127 0.0000 0.7661
F: 0.0188 0.5000 0.7617
F: 0.2412 0.2363 0.9955
F: 0.2412 0.7637 0.9955
F: 0.2448 0.2673 0.5181
F: 0.2448 0.7327 0.5181
F: 0.4795 0.5000 0.7530
F: 0.4812 0.0000 0.7656
F: 0.7495 0.2358 0.0106
F: 0.7495 0.7642 0.0106
F: 0.9817 0.0000 0.2443
F: 0.9849 0.5000 0.2543

Main lines, low angle first (2θ from 10° to 90°):
10.38°, I 55.1, hkl 0 0 1; 14.45°, I 30.9, hkl 1 0 0; 25.46°, I 15.6, hkl 0 1 2; 29.13°, I 27.1, hkl 0 2 0; 29.40°, I 53.2, hkl 1 1 2; 31.01°, I 18.2, hkl 2 0 1; 34.36°, I 100.0, hkl 1 2 1; 34.81°, I 49.7, hkl 1 0 3; 55.08°, I 31.1, hkl 2 3 1; 60.40°, I 26.8, hkl 0 4 0; 60.91°, I 25.4, hkl 2 2 -4; 61.06°, I 27.4, hkl 2 2 4